Theoretical powder X-ray diffraction pattern of CaTe2 for copper Kα, from a structure optimized by DFT (PBE).

Cell and atoms:
```
CaTe2
1.0
5.733 0.000 0.000
-2.867 4.965 0.000
0.000 0.000 6.345
Ca Te
2 4
direct
0.333 0.667 0.250 Ca
0.667 0.333 0.750 Ca
0.000 0.000 0.000 Te
0.000 0.000 0.500 Te
0.333 0.667 0.750 Te
0.667 0.333 0.250 Te
```

Largest 10 diffraction maxima, sorted by position, 2θ = 10–90°:
(1 0 1), 2θ 22.74, d = 3.910 Å, rel. 256
(1 1 0), 2θ 31.20, d = 2.867 Å, rel. 1000
(1 0 2), 2θ 33.52, d = 2.673 Å, rel. 838
(2 0 2), 2θ 46.45, d = 1.955 Å, rel. 331
(3 0 0), 2θ 55.52, d = 1.655 Å, rel. 189
(2 1 2), 2θ 57.02, d = 1.615 Å, rel. 356
(2 2 0), 2θ 65.07, d = 1.433 Å, rel. 115
(1 1 4), 2θ 67.49, d = 1.388 Å, rel. 207
(3 1 2), 2θ 75.22, d = 1.263 Å, rel. 154
(3 0 4), 2θ 84.63, d = 1.145 Å, rel. 111